[1]
For Bi2O3, a PBE-relaxed structure gives the theoretical powder diffractogram in this record (λ = 1.5418 Å (Cu Kα)).
No peak broadening, texture or thermal motion is included.

Main lines, in order of rising 2θ (10 to 90 degrees two-theta):
2θ (°)  Rel. int.
24.7  8
27.1  100
31.3  42
44.9  37
49.2  9
53.2  38
55.8  10
72.1  11
74.3  10
89.2  8

Atomic structure:
Lattice parameters (Å, degrees): 8.0753 8.0753 5.7058 90.00 90.00 90.00
Fractional positions:
Bi1 0.0336 0.2649 0.2535
Bi2 0.2351 0.4664 0.7535
Bi3 0.2649 0.9664 0.7465
Bi4 0.4664 0.7649 0.2465
Bi5 0.5336 0.2351 0.2465
Bi6 0.7351 0.0336 0.7465
Bi7 0.7649 0.5336 0.7535
Bi8 0.9664 0.7351 0.2535
O1 0.0000 0.5000 0.4280
O2 0.0000 0.5000 0.9280
O3 0.1718 0.2129 0.5695
O4 0.2129 0.8282 0.4305
O5 0.2871 0.3282 0.0695
O6 0.3282 0.7129 0.9305
O7 0.5000 0.0000 0.0720
O8 0.5000 0.0000 0.5720
O9 0.6718 0.2871 0.9305
O10 0.7129 0.6718 0.0695
O11 0.7871 0.1718 0.4305
O12 0.8282 0.7871 0.5695



[2]
For Bi2O3, a PBE-relaxed structure gives the theoretical powder diffractogram in this record (λ = 1.5418 Å (Cu Kα)).
No peak broadening, texture or thermal motion is included.

Main lines, in order of rising 2θ (10 to 90 degrees two-theta):
2θ (°)  Rel. int.
26.1  23
29.0  25
29.9  100
39.4  20
46.1  21
52.0  25
55.4  23
55.9  16
75.3  11
79.0  8

Atomic structure:
Lattice parameters (Å, degrees): 7.8811 7.8811 6.1535 90.00 90.00 120.00
Fractional positions:
Bi1 0.1427 0.8013 0.0000
Bi2 0.1987 0.3414 0.0000
Bi3 0.3333 0.6667 0.4981
Bi4 0.3414 0.1987 0.5000
Bi5 0.6586 0.8573 0.0000
Bi6 0.6667 0.3333 0.9981
Bi7 0.8013 0.1427 0.5000
Bi8 0.8573 0.6586 0.5000
O1 0.0784 0.5860 0.6997
O2 0.1158 0.2532 0.3783
O3 0.1374 0.8842 0.3783
O4 0.2532 0.1158 0.8783
O5 0.4140 0.4924 0.6997
O6 0.4924 0.4140 0.1997
O7 0.5076 0.9216 0.6997
O8 0.5860 0.0784 0.1997
O9 0.7468 0.8626 0.3783
O10 0.8626 0.7468 0.8783
O11 0.8842 0.1374 0.8783
O12 0.9216 0.5076 0.1997



[3]
For BiO2, a PBE-relaxed structure gives the theoretical powder diffractogram in this record (λ = 1.5418 Å (Cu Kα)).
No peak broadening, texture or thermal motion is included.

Main lines, in order of rising 2θ (10 to 90 degrees two-theta):
2θ (°)  Rel. int.
10.6  62
15.1  46
23.9  52
30.2  100
30.4  22
32.3  30
40.5  33
46.4  15
48.9  47
56.4  21

Atomic structure:
Lattice parameters (Å, degrees): 8.4997 8.4997 8.4997 92.53 92.53 155.74
Fractional positions:
Bi1 0.1555 0.3424 0.4979
Bi2 0.3424 0.8445 0.1869
Bi3 0.6576 0.1555 0.8131
Bi4 0.8445 0.6576 0.5021
O1 0.0343 0.6655 0.6998
O2 0.2760 0.6622 0.9382
O3 0.3345 0.0343 0.3688
O4 0.3378 0.2760 0.6138
O5 0.6622 0.7240 0.3862
O6 0.6655 0.9657 0.6312
O7 0.7240 0.3378 0.0618
O8 0.9657 0.3345 0.3002



[4]
For BiO4, a PBE-relaxed structure gives the theoretical powder diffractogram in this record (λ = 1.5418 Å (Cu Kα)).
No peak broadening, texture or thermal motion is included.

Main lines, in order of rising 2θ (10 to 90 degrees two-theta):
2θ (°)  Rel. int.
20.1  95
29.0  56
29.6  85
31.9  100
33.5  32
37.5  50
39.8  36
45.0  38
52.2  36
55.5  36

Atomic structure:
Lattice parameters (Å, degrees): 6.1895 3.5732 9.0940 90.00 103.12 90.00
Fractional positions:
Bi1 0.0000 0.0000 0.0000
Bi2 0.5000 0.5000 0.0000
O1 0.0249 0.5000 0.4381
O2 0.2040 0.5000 0.1121
O3 0.2960 0.0000 0.8879
O4 0.4751 0.0000 0.5619
O5 0.5249 0.0000 0.4381
O6 0.7040 0.0000 0.1121
O7 0.7960 0.5000 0.8879
O8 0.9751 0.5000 0.5619



[5]
For Bi4O7, a PBE-relaxed structure gives the theoretical powder diffractogram in this record (λ = 1.5418 Å (Cu Kα)).
No peak broadening, texture or thermal motion is included.

Main lines, in order of rising 2θ (10 to 90 degrees two-theta):
2θ (°)  Rel. int.
27.3  87
27.5  84
27.6  83
27.9  81
31.5  48
31.9  46
32.5  40
44.9  26
45.9  100
54.0  27

Atomic structure:
Lattice parameters (Å, degrees): 6.8038 6.9750 7.9184 73.04 89.23 78.75
Fractional positions:
Bi1 0.0000 0.0000 0.0000
Bi2 0.0000 0.0000 0.5000
Bi3 0.2618 0.4849 0.3808
Bi4 0.2736 0.4966 0.8817
Bi5 0.4748 0.0012 0.7558
Bi6 0.5252 0.9988 0.2442
Bi7 0.7264 0.5034 0.1183
Bi8 0.7382 0.5151 0.6192
O1 0.0904 0.6774 0.5361
O2 0.1052 0.6782 0.1262
O3 0.1151 0.9133 0.7723
O4 0.2861 0.0841 0.0163
O5 0.2925 0.0564 0.4440
O6 0.4664 0.3683 0.6841
O7 0.4691 0.3476 0.1382
O8 0.5309 0.6524 0.8618
O9 0.5336 0.6317 0.3159
O10 0.7075 0.9436 0.5560
O11 0.7139 0.9159 0.9837
O12 0.8849 0.0867 0.2277
O13 0.8948 0.3218 0.8738
O14 0.9096 0.3226 0.4639



[6]
For Bi4O7, a PBE-relaxed structure gives the theoretical powder diffractogram in this record (λ = 1.5418 Å (Cu Kα)).
No peak broadening, texture or thermal motion is included.

Main lines, in order of rising 2θ (10 to 90 degrees two-theta):
2θ (°)  Rel. int.
15.9  2
27.7  100
32.1  38
46.0  49
54.5  46
57.2  10
67.1  8
74.1  19
76.3  14
85.2  16

Atomic structure:
Lattice parameters (Å, degrees): 5.5800 5.5800 5.5800 90.00 90.00 90.00
Fractional positions:
Bi1 0.2390 0.2390 0.7610
Bi2 0.2390 0.7610 0.2390
Bi3 0.7610 0.2390 0.2390
Bi4 0.7610 0.7610 0.7610
O1 0.0000 0.0000 0.0000
O2 0.0000 0.0000 0.5000
O3 0.0000 0.5000 0.0000
O4 0.0000 0.5000 0.5000
O5 0.5000 0.0000 0.0000
O6 0.5000 0.0000 0.5000
O7 0.5000 0.5000 0.0000



[7]
For BiO2, a PBE-relaxed structure gives the theoretical powder diffractogram in this record (λ = 1.5418 Å (Cu Kα)).
No peak broadening, texture or thermal motion is included.

Main lines, in order of rising 2θ (10 to 90 degrees two-theta):
2θ (°)  Rel. int.
25.9  100
29.1  72
29.9  29
31.6  25
34.1  19
39.7  16
46.0  24
47.2  23
48.8  19
51.1  18

Atomic structure:
Lattice parameters (Å, degrees): 6.7710 6.7710 5.7560 105.27 105.27 45.71
Fractional positions:
Bi1 0.0000 0.5000 0.0000
Bi2 0.2302 0.7698 0.7500
Bi3 0.5000 0.0000 0.5000
Bi4 0.7698 0.2302 0.2500
O1 0.0186 0.1701 0.9804
O2 0.1701 0.0186 0.4804
O3 0.2893 0.3654 0.3272
O4 0.3654 0.2893 0.8272
O5 0.6346 0.7107 0.1728
O6 0.7107 0.6346 0.6728
O7 0.8299 0.9814 0.5196
O8 0.9814 0.8299 0.0196



[8]
For Bi2O3, a PBE-relaxed structure gives the theoretical powder diffractogram in this record (λ = 1.5418 Å (Cu Kα)).
No peak broadening, texture or thermal motion is included.

Main lines, in order of rising 2θ (10 to 90 degrees two-theta):
2θ (°)  Rel. int.
10.7  23
18.6  34
24.1  19
26.4  100
30.6  44
43.8  41
51.9  46
54.4  13
70.3  17
72.4  16

Atomic structure:
Lattice parameters (Å, degrees): 10.1147 10.1147 10.1147 109.47 109.47 109.47
Fractional positions:
Bi1 0.9996 0.2376 0.4840
Bi2 0.0004 0.4844 0.2380
Bi3 0.2380 0.0004 0.4844
Bi4 0.2376 0.4840 0.9996
Bi5 0.2464 0.7624 0.7620
Bi6 0.4840 0.9996 0.2376
Bi7 0.4844 0.2380 0.0004
Bi8 0.5156 0.5160 0.7536
Bi9 0.5160 0.7536 0.5156
Bi10 0.7536 0.5156 0.5160
Bi11 0.7620 0.2464 0.7624
Bi12 0.7624 0.7620 0.2464
O1 0.0000 0.3167 0.3167
O2 0.9997 0.3258 0.7950
O3 0.0000 0.6833 0.6833
O4 0.0003 0.7953 0.3262
O5 0.2047 0.2050 0.5308
O6 0.2050 0.5308 0.2047
O7 0.3167 0.0000 0.3167
O8 0.3167 0.3167 0.0000
O9 0.3262 0.0003 0.7953
O10 0.3258 0.7950 0.9997
O11 0.4692 0.6742 0.6738
O12 0.5308 0.2047 0.2050
O13 0.6738 0.4692 0.6742
O14 0.6742 0.6738 0.4692
O15 0.6833 0.0000 0.6833
O16 0.6833 0.6833 0.0000
O17 0.7950 0.9997 0.3258
O18 0.7953 0.3262 0.0003



[9]
For BiO2, a PBE-relaxed structure gives the theoretical powder diffractogram in this record (λ = 1.5418 Å (Cu Kα)).
No peak broadening, texture or thermal motion is included.

Main lines, in order of rising 2θ (10 to 90 degrees two-theta):
2θ (°)  Rel. int.
22.0  100
30.3  22
30.8  29
33.2  50
42.0  23
43.8  20
48.0  26
53.0  10
55.7  13
71.2  13

Atomic structure:
Lattice parameters (Å, degrees): 6.0797 6.0777 6.6274 90.00 117.13 90.00
Fractional positions:
Bi1 0.0000 0.1255 0.2500
Bi2 0.0000 0.8745 0.7500
Bi3 0.5000 0.3745 0.7500
Bi4 0.5000 0.6255 0.2500
O1 0.1947 0.1244 0.6390
O2 0.1947 0.8756 0.1390
O3 0.3053 0.3756 0.3610
O4 0.3053 0.6244 0.8610
O5 0.6947 0.3756 0.1390
O6 0.6947 0.6244 0.6390
O7 0.8053 0.1244 0.8610
O8 0.8053 0.8756 0.3610